(1)
# Tm3CdS6
Calculated powder XRD pattern, Cu Kα, 1.54184 Å. Input: the PBE geometry in Alexandria.
Lines closer than 0.1° are merged.

Principal peaks in the range 2θ from 10° to 90°, by angle:
25.6°, intensity 100; 26.2°, intensity 85; 37.7°, intensity 41; 39.0°, intensity 20; 43.8°, intensity 38; 50.0°, intensity 32

Structure:
Unit cell a=8.2875 b=8.2875 c=6.6914 alpha=90.00 beta=90.00 gamma=100.49
Positions (direct):
1 Tm 0.0978 0.9022 0.5000
2 Tm 0.2196 0.4179 0.4112
3 Tm 0.4179 0.2196 0.9112
4 Tm 0.5821 0.7804 0.4112
5 Tm 0.7804 0.5821 0.9112
6 Tm 0.9022 0.0978 0.0000
7 Cd 0.2956 0.7044 0.8925
8 Cd 0.7044 0.2956 0.3925
9 S 0.0456 0.5956 0.6737
10 S 0.1293 0.1980 0.7079
11 S 0.1980 0.1293 0.2079
12 S 0.2737 0.7263 0.2604
13 S 0.4044 0.9544 0.6737
14 S 0.4708 0.5292 0.6967
15 S 0.5292 0.4708 0.1967
16 S 0.5956 0.0456 0.1737
17 S 0.7263 0.2737 0.7604
18 S 0.8020 0.8707 0.7079
19 S 0.8707 0.8020 0.2079
20 S 0.9544 0.4044 0.1737

(2)
# V4CdS8
Calculated powder XRD pattern, Cu Kα, 1.54184 Å. Input: the PBE geometry in Alexandria.
Lines closer than 0.1° are merged.

Principal peaks in the range 2θ from 10° to 90°, by angle:
13.4°, intensity 95; 17.5°, intensity 73; 31.4°, intensity 48; 35.3°, intensity 60; 38.8°, intensity 100; 43.7°, intensity 78

Structure:
Unit cell a=6.5569 b=6.5569 c=8.0433 alpha=119.59 beta=119.59 gamma=60.57
Positions (direct):
1 V 0.2052 0.7948 0.0000
2 V 0.2302 0.2302 0.9918
3 V 0.7698 0.7698 0.0082
4 V 0.7948 0.2052 0.0000
5 Cd 0.5000 0.5000 0.5000
6 S 0.0058 0.5030 0.2160
7 S 0.0161 0.0161 0.2447
8 S 0.4947 0.4947 0.1824
9 S 0.4970 0.9942 0.7840
10 S 0.5030 0.0058 0.2160
11 S 0.5053 0.5053 0.8176
12 S 0.9839 0.9839 0.7553
13 S 0.9942 0.4970 0.7840